Diffraction record for YAuO2. The powder X-ray diffraction pattern is simulated, not measured: it uses a DFT-relaxed cell (GGA-PBE, the Materials Project) and λ = 1.5418 Å (Cu Kα).

Main lines, sorted by position (2θ = 15–90°):
hkl 0 0 4, d = 3.048 Å, 29.30 deg, rel. 367
hkl 1 0 1, d = 3.016 Å, 29.62 deg, rel. 1000
hkl 1 0 2, d = 2.773 Å, 32.29 deg, rel. 758
hkl 1 0 3, d = 2.471 Å, 36.35 deg, rel. 346
hkl 1 0 5, d = 1.920 Å, 47.35 deg, rel. 278
hkl 1 1 0, d = 1.797 Å, 50.80 deg, rel. 327
hkl 1 0 6, d = 1.702 Å, 53.87 deg, rel. 224
hkl 1 1 4, d = 1.548 Å, 59.73 deg, rel. 304
hkl 2 0 1, d = 1.544 Å, 59.91 deg, rel. 135
hkl 1 0 7, d = 1.520 Å, 60.95 deg, rel. 127
hkl 2 0 2, d = 1.508 Å, 61.48 deg, rel. 121
hkl 1 1 8, d = 1.162 Å, 83.08 deg, rel. 122

```
data_YAuO2
_cell_length_a 3.5947
_cell_length_b 3.5947
_cell_length_c 12.1938
_cell_angle_alpha 90.00
_cell_angle_beta 90.00
_cell_angle_gamma 120.00
_symmetry_space_group_name_H-M 'P 63/m m c'
_symmetry_Int_Tables_number 194
_symmetry_space_group_name_Hall '-P 6c 2c'
loop_
_atom_site_label
_atom_site_type_symbol
_atom_site_fract_x
_atom_site_fract_y
_atom_site_fract_z
Y1 Y 0.0000 0.0000 0.0000
Au1 Au 0.3333 0.6667 0.2500
O1 O 0.3333 0.6667 0.0821
```

Diffraction record for NaAlPO4F. The powder X-ray diffraction pattern is simulated, not measured: it uses a DFT-relaxed cell (GGA-PBE, the Materials Project) and λ = 1.5418 Å (Cu Kα).

Main lines, sorted by position (2θ = 15–90°):
hkl 1 1 0, d = 4.792 Å, 18.51 deg, rel. 206
hkl 1 1 -1, d = 4.701 Å, 18.88 deg, rel. 289
hkl 1 1 -2, d = 3.205 Å, 27.83 deg, rel. 1000
hkl 2 0 0, d = 2.933 Å, 30.48 deg, rel. 808
hkl 2 0 -2, d = 2.850 Å, 31.39 deg, rel. 190
hkl 1 3 0, d = 2.508 Å, 35.81 deg, rel. 843
hkl 1 3 1, d = 2.193 Å, 41.16 deg, rel. 365
hkl 2 0 -4, d = 1.736 Å, 52.71 deg, rel. 257
hkl 2 2 2, d = 1.647 Å, 55.83 deg, rel. 197
hkl 3 3 0, d = 1.597 Å, 57.71 deg, rel. 258
hkl 1 3 -4, d = 1.461 Å, 63.68 deg, rel. 232
hkl 4 0 -4, d = 1.425 Å, 65.51 deg, rel. 166

```
data_NaAlPO4F
_cell_length_a 6.509
_cell_length_b 8.313
_cell_length_c 6.994
_cell_angle_alpha 90.00
_cell_angle_beta 115.70
_cell_angle_gamma 90.00
_symmetry_space_group_name_H-M 'C 1 2/c 1'
_symmetry_Int_Tables_number 15
loop_
_symmetry_equiv_pos_as_xyz
'x,y,z'
'-x,-y,-z'
'-x,y,-z+1/2'
'x,-y,z+1/2'
'x+1/2,y+1/2,z'
'-x+1/2,-y+1/2,-z'
'-x+1/2,y+1/2,-z+1/2'
'x+1/2,-y+1/2,z+1/2'
loop_
_atom_site_label
_atom_site_type_symbol
_atom_site_fract_x
_atom_site_fract_y
_atom_site_fract_z
Na1 Na 0.000 0.168 0.250
Al1 Al 0.000 0.500 0.000
P1 P 0.000 0.183 0.750
O1 O 0.092 0.290 0.621
O2 O 0.192 0.070 0.900
F1 F 0.000 0.430 0.250
```

Diffraction record for Zn2PHO5. The powder X-ray diffraction pattern is simulated, not measured: it uses a DFT-relaxed cell (GGA-PBE, the Materials Project) and λ = 1.5418 Å (Cu Kα).

Main lines, sorted by position (2θ = 15–90°):
hkl 1 1 0, d = 5.871 Å, 15.09 deg, rel. 1000
hkl 0 1 1, d = 4.915 Å, 18.05 deg, rel. 680
hkl 1 0 1, d = 4.878 Å, 18.19 deg, rel. 911
hkl 2 1 0, d = 3.689 Å, 24.12 deg, rel. 470
hkl 2 2 0, d = 2.936 Å, 30.45 deg, rel. 867
hkl 1 1 2, d = 2.693 Å, 33.26 deg, rel. 986
hkl 1 3 0, d = 2.646 Å, 33.87 deg, rel. 713
hkl 3 1 0, d = 2.603 Å, 34.46 deg, rel. 532
hkl 0 2 2, d = 2.458 Å, 36.56 deg, rel. 436
hkl 2 1 2, d = 2.342 Å, 38.44 deg, rel. 364
hkl 4 0 2, d = 1.700 Å, 53.93 deg, rel. 363
hkl 3 3 2, d = 1.644 Å, 55.92 deg, rel. 469

```
data_Zn2PHO5
_cell_length_a 8.214
_cell_length_b 8.396
_cell_length_c 6.062
_cell_angle_alpha 90.00
_cell_angle_beta 90.00
_cell_angle_gamma 90.00
_symmetry_space_group_name_H-M 'P n n m'
_symmetry_Int_Tables_number 58
loop_
_symmetry_equiv_pos_as_xyz
'x,y,z'
'-x,-y,-z'
'-x,-y,z'
'x,y,-z'
'x+1/2,-y+1/2,-z+1/2'
'-x+1/2,y+1/2,z+1/2'
'-x+1/2,y+1/2,-z+1/2'
'x+1/2,-y+1/2,z+1/2'
loop_
_atom_site_label
_atom_site_type_symbol
_atom_site_fract_x
_atom_site_fract_y
_atom_site_fract_z
Zn1 Zn 0.000 0.000 0.247
Zn2 Zn 0.136 0.363 0.000
P1 P 0.250 0.239 0.500
H1 H 0.225 0.079 0.000
O1 O 0.084 0.147 0.500
O2 O 0.114 0.609 0.000
O3 O 0.115 0.124 0.000
O4 O 0.234 0.847 0.208
```

Diffraction record for AsH3. The powder X-ray diffraction pattern is simulated, not measured: it uses a DFT-relaxed cell (GGA-PBE, the Materials Project) and λ = 1.5418 Å (Cu Kα).

Main lines, sorted by position (2θ = 15–90°):
hkl 1 1 1, d = 3.426 Å, 26.00 deg, rel. 1000
hkl 2 0 0, d = 2.967 Å, 30.12 deg, rel. 483
hkl 2 2 0, d = 2.098 Å, 43.11 deg, rel. 376
hkl 3 1 1, d = 1.789 Å, 51.04 deg, rel. 459
hkl 2 2 2, d = 1.713 Å, 53.48 deg, rel. 139
hkl 4 0 0, d = 1.484 Å, 62.61 deg, rel. 63
hkl 3 3 1, d = 1.362 Å, 68.97 deg, rel. 184
hkl 4 2 0, d = 1.327 Å, 71.03 deg, rel. 168
hkl 4 2 2, d = 1.211 Å, 79.04 deg, rel. 123
hkl 5 1 1, d = 1.142 Å, 84.90 deg, rel. 141

```
data_AsH3
_cell_length_a 5.935
_cell_length_b 5.935
_cell_length_c 5.935
_cell_angle_alpha 90.00
_cell_angle_beta 90.00
_cell_angle_gamma 90.00
_symmetry_space_group_name_H-M 'P 42 3 2'
_symmetry_Int_Tables_number 208
_symmetry_space_group_name_Hall 'P 4n 2 3'
loop_
_atom_site_label
_atom_site_type_symbol
_atom_site_fract_x
_atom_site_fract_y
_atom_site_fract_z
As1 As 0.250 0.250 0.250
H1 H 0.000 0.180 0.500
```

Diffraction record for K4GeO4. The powder X-ray diffraction pattern is simulated, not measured: it uses a DFT-relaxed cell (GGA-PBE, the Materials Project) and λ = 1.5418 Å (Cu Kα).

Main lines, sorted by position (2θ = 15–90°):
hkl 0 1 1, d = 5.545 Å, 15.98 deg, rel. 572
hkl 1 1 -2, d = 3.023 Å, 29.54 deg, rel. 995
hkl 0 1 3, d = 2.994 Å, 29.84 deg, rel. 620
hkl 1 1 3, d = 2.983 Å, 29.95 deg, rel. 319
hkl 0 2 1, d = 2.974 Å, 30.05 deg, rel. 830
hkl 2 0 0, d = 2.956 Å, 30.24 deg, rel. 927
hkl 2 2 1, d = 2.737 Å, 32.71 deg, rel. 1000
hkl 1 -1 2, d = 2.601 Å, 34.49 deg, rel. 899
hkl -1 1 3, d = 2.440 Å, 36.84 deg, rel. 638
hkl 2 1 3, d = 2.422 Å, 37.11 deg, rel. 507
hkl 1 3 -1, d = 1.900 Å, 47.87 deg, rel. 370
hkl 3 1 -2, d = 1.827 Å, 49.93 deg, rel. 349

```
data_K4GeO4
_cell_length_a 6.494
_cell_length_b 6.539
_cell_length_c 9.430
_cell_angle_alpha 72.44
_cell_angle_beta 80.58
_cell_angle_gamma 65.67
_symmetry_space_group_name_H-M 'P -1'
_symmetry_Int_Tables_number 2
loop_
_symmetry_equiv_pos_as_xyz
'x,y,z'
'-x,-y,-z'
loop_
_atom_site_label
_atom_site_type_symbol
_atom_site_fract_x
_atom_site_fract_y
_atom_site_fract_z
K1 K 0.225 0.455 0.124
K2 K 0.239 0.906 0.348
K3 K 0.254 0.269 0.531
K4 K 0.274 0.007 0.939
Ge1 Ge 0.260 0.653 0.750
O1 O 0.045 0.788 0.879
O2 O 0.106 0.664 0.604
O3 O 0.430 0.825 0.683
O4 O 0.437 0.359 0.840
```

Diffraction record for MgCo2Sb2S2. The powder X-ray diffraction pattern is simulated, not measured: it uses a DFT-relaxed cell (GGA-PBE, the Materials Project) and λ = 1.5418 Å (Cu Kα).

Main lines, sorted by position (2θ = 15–90°):
hkl 1 0 0, d = 4.990 Å, 17.78 deg, rel. 629
hkl 1 0 -1, d = 4.626 Å, 19.19 deg, rel. 278
hkl 0 1 1, d = 3.144 Å, 28.39 deg, rel. 381
hkl 1 1 -1, d = 2.803 Å, 31.93 deg, rel. 1000
hkl 1 0 2, d = 2.577 Å, 34.81 deg, rel. 399
hkl 1 1 1, d = 2.537 Å, 35.38 deg, rel. 530
hkl 2 0 0, d = 2.495 Å, 36.00 deg, rel. 254
hkl 1 1 -3, d = 1.946 Å, 46.67 deg, rel. 254
hkl 0 1 3, d = 1.939 Å, 46.85 deg, rel. 374
hkl 2 1 -2, d = 1.933 Å, 47.00 deg, rel. 327
hkl 2 1 1, d = 1.857 Å, 49.05 deg, rel. 463
hkl 0 2 0, d = 1.762 Å, 51.91 deg, rel. 263

```
data_MgCo2Sb2S2
_cell_length_a 5.145
_cell_length_b 3.523
_cell_length_c 7.186
_cell_angle_alpha 90.00
_cell_angle_beta 104.11
_cell_angle_gamma 90.00
_symmetry_space_group_name_H-M 'P 1 m 1'
_symmetry_Int_Tables_number 6
loop_
_symmetry_equiv_pos_as_xyz
'x,y,z'
'x,-y,z'
loop_
_atom_site_label
_atom_site_type_symbol
_atom_site_fract_x
_atom_site_fract_y
_atom_site_fract_z
Mg1 Mg 0.000 0.000 0.000
Co1 Co 0.108 0.500 0.533
Co2 Co 0.551 0.000 0.117
Sb1 Sb 0.397 0.000 0.423
Sb2 Sb 0.425 0.500 0.864
S1 S 0.848 0.500 0.231
S2 S 0.892 0.000 0.634
```

Diffraction record for LiAgF2. The powder X-ray diffraction pattern is simulated, not measured: it uses a DFT-relaxed cell (GGA-PBE, the Materials Project) and λ = 1.5418 Å (Cu Kα).

Main lines, sorted by position (2θ = 15–90°):
hkl 0 1 1, d = 4.071 Å, 21.83 deg, rel. 1000
hkl 1 1 0, d = 2.876 Å, 31.09 deg, rel. 982
hkl 0 2 1, d = 2.813 Å, 31.81 deg, rel. 678
hkl 1 0 1, d = 2.700 Å, 33.18 deg, rel. 776
hkl 0 0 2, d = 2.554 Å, 35.14 deg, rel. 616
hkl 1 1 1, d = 2.506 Å, 35.83 deg, rel. 349
hkl 0 1 2, d = 2.388 Å, 37.66 deg, rel. 355
hkl 1 2 0, d = 2.313 Å, 38.93 deg, rel. 661
hkl 0 3 0, d = 2.247 Å, 40.13 deg, rel. 331
hkl 1 1 2, d = 1.910 Å, 47.61 deg, rel. 520
hkl 1 2 2, d = 1.715 Å, 53.44 deg, rel. 548
hkl 0 4 0, d = 1.686 Å, 54.40 deg, rel. 316

```
data_LiAgF2
_cell_length_a 3.181
_cell_length_b 6.742
_cell_length_c 5.108
_cell_angle_alpha 90.00
_cell_angle_beta 90.00
_cell_angle_gamma 90.00
_symmetry_space_group_name_H-M 'P m n 21'
_symmetry_Int_Tables_number 31
loop_
_symmetry_equiv_pos_as_xyz
'x,y,z'
'-x+1/2,-y,z+1/2'
'-x,y,z'
'x+1/2,-y,z+1/2'
loop_
_atom_site_label
_atom_site_type_symbol
_atom_site_fract_x
_atom_site_fract_y
_atom_site_fract_z
Li1 Li 0.000 0.084 0.000
Ag1 Ag 0.000 0.366 0.516
F1 F 0.000 0.032 0.635
F2 F 0.000 0.363 0.030
```

Diffraction record for Lu2TlCd. The powder X-ray diffraction pattern is simulated, not measured: it uses a DFT-relaxed cell (GGA-PBE, the Materials Project) and λ = 1.5418 Å (Cu Kα).

Main lines, sorted by position (2θ = 15–90°):
hkl 1 1 1, d = 4.278 Å, 20.76 deg, rel. 36
hkl 2 2 0, d = 2.620 Å, 34.23 deg, rel. 1000
hkl 3 1 1, d = 2.234 Å, 40.37 deg, rel. 21
hkl 4 0 0, d = 1.852 Å, 49.18 deg, rel. 181
hkl 3 3 1, d = 1.700 Å, 53.94 deg, rel. 10
hkl 4 2 2, d = 1.513 Å, 61.29 deg, rel. 374
hkl 5 1 1, d = 1.426 Å, 65.45 deg, rel. 8
hkl 4 4 0, d = 1.310 Å, 72.11 deg, rel. 116
hkl 5 3 1, d = 1.253 Å, 75.98 deg, rel. 8
hkl 6 2 0, d = 1.172 Å, 82.29 deg, rel. 164

```
data_Lu2TlCd
_cell_length_a 7.410
_cell_length_b 7.410
_cell_length_c 7.410
_cell_angle_alpha 90.00
_cell_angle_beta 90.00
_cell_angle_gamma 90.00
_symmetry_space_group_name_H-M 'F m -3 m'
_symmetry_Int_Tables_number 225
_symmetry_space_group_name_Hall '-F 4 2 3'
loop_
_atom_site_label
_atom_site_type_symbol
_atom_site_fract_x
_atom_site_fract_y
_atom_site_fract_z
Lu1 Lu 0.250 0.250 0.250
Tl1 Tl 0.000 0.000 0.000
Cd1 Cd 0.000 0.000 0.500
```

Diffraction record for MoPd2. The powder X-ray diffraction pattern is simulated, not measured: it uses a DFT-relaxed cell (GGA-PBE, the Materials Project) and λ = 1.5418 Å (Cu Kα).

Main lines, sorted by position (2θ = 15–90°):
hkl 1 1 0, d = 2.276 Å, 39.60 deg, rel. 1000
hkl 0 1 3, d = 2.270 Å, 39.71 deg, rel. 992
hkl 0 2 0, d = 1.983 Å, 45.75 deg, rel. 328
hkl 1 0 3, d = 1.961 Å, 46.30 deg, rel. 633
hkl 1 2 3, d = 1.394 Å, 67.12 deg, rel. 406
hkl 2 0 0, d = 1.389 Å, 67.40 deg, rel. 100
hkl 0 0 6, d = 1.384 Å, 67.70 deg, rel. 99
hkl 1 3 0, d = 1.194 Å, 80.47 deg, rel. 244
hkl 2 1 3, d = 1.185 Å, 81.17 deg, rel. 239
hkl 1 1 6, d = 1.183 Å, 81.37 deg, rel. 237
hkl 2 2 0, d = 1.138 Å, 85.29 deg, rel. 107
hkl 0 2 6, d = 1.135 Å, 85.57 deg, rel. 106

```
data_MoPd2
_cell_length_a 2.779
_cell_length_b 3.967
_cell_length_c 8.304
_cell_angle_alpha 90.00
_cell_angle_beta 90.00
_cell_angle_gamma 90.00
_symmetry_space_group_name_H-M 'I m m m'
_symmetry_Int_Tables_number 71
_symmetry_space_group_name_Hall '-I 2 2'
loop_
_atom_site_label
_atom_site_type_symbol
_atom_site_fract_x
_atom_site_fract_y
_atom_site_fract_z
Mo1 Mo 0.000 0.000 0.000
Pd1 Pd 0.000 0.000 0.335
```